Simulated powder diffractogram
Compound: RbPrSe2
Radiation: CuKα
Structure: DFT lattice parameters and positions (PBE)
Lines closer than 0.1° are merged.

Principal peaks in the range 2θ from 10° to 90°, by intensity:
hkl 1 0 4, 27.6 deg, rel. 100.0; hkl 1 1 0, 40.9 deg, rel. 36.8; hkl 0 1 8, 38.0 deg, rel. 34.5; hkl 0 0 3, 11.0 deg, rel. 20.5; hkl 0 2 4, 50.1 deg, rel. 19.0; hkl 2 1 4, 66.5 deg, rel. 16.1; hkl 1 1 12, 62.5 deg, rel. 11.3; hkl 2 0 8, 57.1 deg, rel. 10.5; hkl 1 2 8, 72.5 deg, rel. 10.2; hkl 1 0 7, 35.1 deg, rel. 9.4

Structure:
a b c (Å): 4.4154 4.4154 24.0930
angles (deg): 90.00 90.00 120.00
Space group R-3m (No. 166, hexagonal axes)
One atom of each set of equivalent atoms:
Rb 0.0000 0.0000 0.0000 (multiplicity 3)
Pr 0.0000 0.0000 0.5000 (multiplicity 3)
Se 0.0000 0.0000 0.2340 (multiplicity 6)